Diffraction record for TmOs2. The X-ray powder pattern is theoretical, not measured: it uses the GGA-PBE geometry in OQMD and Cu Kα (weighted mean of Kα1 and Kα2).

Top 10 peaks for 10 to 90 degrees two-theta, low angle first:
| 2theta | I (rel.) |
| --- | --- |
| 33.86 | 24.9 |
| 36.69 | 71.2 |
| 39.88 | 100.0 |
| 40.70 | 94.4 |
| 41.56 | 21.5 |
| 44.69 | 25.0 |
| 62.45 | 25.1 |
| 64.65 | 24.8 |
| 67.64 | 32.6 |
| 71.25 | 29.6 |

Atomic structure:
Lattice parameters (Å, degrees): 5.2941 5.2941 8.6921 90.00 90.00 120.00
Fractional coordinates of all 12 atoms:
Tm1 0.3333 0.6667 0.0657
Tm2 0.3333 0.6667 0.4343
Tm3 0.6667 0.3333 0.5657
Tm4 0.6667 0.3333 0.9343
Os1 0.0000 0.0000 0.0000
Os2 0.0000 0.0000 0.5000
Os3 0.1726 0.3453 0.7500
Os4 0.1726 0.8274 0.7500
Os5 0.3453 0.1726 0.2500
Os6 0.6547 0.8274 0.7500
Os7 0.8274 0.1726 0.2500
Os8 0.8274 0.6547 0.2500

=====

Diffraction record for Os2W. The X-ray powder pattern is theoretical, not measured: it uses the GGA-PBE geometry in OQMD and Cu Kα (weighted mean of Kα1 and Kα2).

Top 10 peaks for 10 to 90 degrees two-theta, low angle first:
| 2theta | I (rel.) |
| --- | --- |
| 35.32 | 22.9 |
| 39.08 | 100.0 |
| 40.25 | 70.1 |
| 41.40 | 70.5 |
| 43.09 | 82.2 |
| 44.18 | 54.9 |
| 46.82 | 21.8 |
| 68.77 | 20.8 |
| 69.99 | 20.3 |
| 87.71 | 21.0 |

Atomic structure:
Lattice parameters (Å, degrees): 9.5041 9.5041 5.0819 90.00 90.00 90.00
Fractional coordinates of all 30 atoms:
Os1 0.0504 0.3658 0.0000
Os2 0.0949 0.0949 0.0000
Os3 0.1342 0.5504 0.5000
Os4 0.1825 0.8175 0.2477
Os5 0.1825 0.8175 0.7523
Os6 0.3175 0.3175 0.2523
Os7 0.3175 0.3175 0.7477
Os8 0.3658 0.0504 0.0000
Os9 0.4051 0.5949 0.5000
Os10 0.4496 0.8658 0.5000
Os11 0.5504 0.1342 0.5000
Os12 0.5949 0.4051 0.5000
Os13 0.6342 0.9496 0.0000
Os14 0.6825 0.6825 0.2523
Os15 0.6825 0.6825 0.7477
Os16 0.8175 0.1825 0.2477
Os17 0.8175 0.1825 0.7523
Os18 0.8658 0.4496 0.5000
Os19 0.9051 0.9051 0.0000
Os20 0.9496 0.6342 0.0000
W1 0.0000 0.0000 0.5000
W2 0.0659 0.2682 0.5000
W3 0.2318 0.5659 0.0000
W4 0.2682 0.0659 0.5000
W5 0.4341 0.7682 0.0000
W6 0.5000 0.5000 0.0000
W7 0.5659 0.2318 0.0000
W8 0.7318 0.9341 0.5000
W9 0.7682 0.4341 0.0000
W10 0.9341 0.7318 0.5000

=====

Diffraction record for Zr2Os2W3. The X-ray powder pattern is theoretical, not measured: it uses the GGA-PBE geometry in OQMD and Cu Kα (weighted mean of Kα1 and Kα2).

Top 10 peaks for 10 to 90 degrees two-theta, low angle first:
| 2theta | I (rel.) |
| --- | --- |
| 12.21 | 12.2 |
| 23.24 | 9.9 |
| 24.31 | 21.8 |
| 40.17 | 100.0 |
| 40.50 | 93.9 |
| 58.36 | 32.4 |
| 73.00 | 17.4 |
| 73.22 | 33.1 |
| 73.88 | 14.3 |
| 86.76 | 11.4 |

Atomic structure:
Lattice parameters (Å, degrees): 7.6969 7.6969 7.6969 33.92 33.92 33.92
Fractional coordinates of all 7 atoms:
Zr1 0.0000 0.0000 0.0000
Zr2 0.4858 0.4858 0.4858
Os1 0.2445 0.2445 0.2445
Os2 0.7479 0.7479 0.7479
W1 0.3657 0.3657 0.3657
W2 0.6145 0.6145 0.6145
W3 0.8670 0.8670 0.8670

=====

Diffraction record for Zn4Os3. The X-ray powder pattern is theoretical, not measured: it uses the GGA-PBE geometry in OQMD and Cu Kα (weighted mean of Kα1 and Kα2).

Top 10 peaks for 10 to 90 degrees two-theta, low angle first:
| 2theta | I (rel.) |
| --- | --- |
| 14.03 | 20.6 |
| 28.27 | 18.1 |
| 37.70 | 24.3 |
| 41.46 | 26.6 |
| 43.23 | 100.0 |
| 57.27 | 14.3 |
| 68.06 | 15.2 |
| 76.86 | 18.0 |
| 82.93 | 17.7 |
| 84.13 | 13.8 |

Atomic structure:
Lattice parameters (Å, degrees): 7.2894 7.2894 4.3559 90.00 90.00 120.00
Fractional coordinates of all 14 atoms:
Zn1 0.0362 0.8065 0.2500
Zn2 0.1935 0.2296 0.2500
Zn3 0.2296 0.0362 0.7500
Zn4 0.3333 0.6667 0.2500
Zn5 0.6667 0.3333 0.7500
Zn6 0.7704 0.9638 0.2500
Zn7 0.8065 0.7704 0.7500
Zn8 0.9638 0.1935 0.7500
Os1 0.0892 0.5939 0.7500
Os2 0.4061 0.4952 0.7500
Os3 0.4952 0.0892 0.2500
Os4 0.5048 0.9108 0.7500
Os5 0.5939 0.5048 0.2500
Os6 0.9108 0.4061 0.2500